For LaNiBPd3, DFT lattice parameters and positions (GGA-PBE) gives the simulated X-ray diffraction stick pattern in this record (λ = 1.5418 Å (Cu Kα)).

Structure:
a = 5.475 Å, b = 5.475 Å, c = 7.397 Å
α = 90.00°, β = 90.00°, γ = 120.00°
Positions (direct):
La1 0.000 0.000 0.000
La2 0.000 0.000 0.500
Ni1 0.333 0.667 0.000
Ni2 0.667 0.333 0.000
B1 0.333 0.667 0.500
B2 0.667 0.333 0.500
Pd1 0.000 0.500 0.292
Pd2 0.000 0.500 0.708
Pd3 0.500 0.000 0.292
Pd4 0.500 0.000 0.708
Pd5 0.500 0.500 0.292
Pd6 0.500 0.500 0.708

Largest 6 diffraction maxima, low angle first, 5° ≤ 2θ ≤ 70°:
| 2theta | I/Imax | index |
| --- | --- | --- |
| 30.7 | 74 | 1 0 2 |
| 38.0 | 100 | 2 0 0 |
| 41.0 | 82 | 1 1 2 |
| 45.4 | 21 | 2 0 2 |
| 57.1 | 25 | 2 1 2 |
| 68.6 | 27 | 2 2 0 |

=====

For LaNiBPt3, DFT lattice parameters and positions (GGA-PBE) gives the simulated X-ray diffraction stick pattern in this record (λ = 1.5418 Å (Cu Kα)).

Structure:
a = 5.492 Å, b = 5.492 Å, c = 7.398 Å
α = 90.00°, β = 90.00°, γ = 120.00°
Positions (direct):
La1 0.000 0.000 0.000
La2 0.000 0.000 0.500
Ni1 0.333 0.667 0.000
Ni2 0.667 0.333 0.000
B1 0.333 0.667 0.500
B2 0.667 0.333 0.500
Pt1 0.000 0.500 0.288
Pt2 0.000 0.500 0.712
Pt3 0.500 0.000 0.288
Pt4 0.500 0.000 0.712
Pt5 0.500 0.500 0.288
Pt6 0.500 0.500 0.712

Largest 6 diffraction maxima, low angle first, 5° ≤ 2θ ≤ 70°:
| 2theta | I/Imax | index |
| --- | --- | --- |
| 24.1 | 20 | 0 0 2 |
| 30.6 | 56 | 1 0 2 |
| 37.8 | 100 | 2 0 0 |
| 40.9 | 51 | 1 1 2 |
| 45.3 | 45 | 2 0 2 |
| 68.3 | 24 | 2 2 0 |

=====

For LaNi3BPt, DFT lattice parameters and positions (GGA-PBE) gives the simulated X-ray diffraction stick pattern in this record (λ = 1.5418 Å (Cu Kα)).

Structure:
a = 5.226 Å, b = 5.226 Å, c = 7.185 Å
α = 90.00°, β = 90.00°, γ = 120.00°
Positions (direct):
La1 0.000 0.000 0.000
La2 0.000 0.000 0.500
Ni1 0.000 0.500 0.193
Ni2 0.000 0.500 0.807
Ni3 0.500 0.000 0.193
Ni4 0.500 0.000 0.807
Ni5 0.500 0.500 0.193
Ni6 0.500 0.500 0.807
B1 0.333 0.667 0.000
B2 0.667 0.333 0.000
Pt1 0.333 0.667 0.500
Pt2 0.667 0.333 0.500

Largest 6 diffraction maxima, low angle first, 5° ≤ 2θ ≤ 70°:
| 2theta | I/Imax | index |
| --- | --- | --- |
| 12.3 | 24 | 0 0 1 |
| 34.3 | 40 | 1 1 0 |
| 36.6 | 39 | 1 1 1 |
| 42.8 | 100 | 1 1 2 |
| 62.8 | 20 | 1 1 4 |
| 67.3 | 29 | 3 0 2 |

=====

For LaSmNi2B2Pt6, DFT lattice parameters and positions (GGA-PBE) gives the simulated X-ray diffraction stick pattern in this record (λ = 1.5418 Å (Cu Kα)).

Structure:
a = 5.470 Å, b = 5.470 Å, c = 7.378 Å
α = 90.00°, β = 90.00°, γ = 120.00°
Positions (direct):
La1 0.000 0.000 0.000
Sm1 0.000 0.000 0.500
Ni1 0.333 0.667 0.500
Ni2 0.667 0.333 0.500
B1 0.333 0.667 0.000
B2 0.667 0.333 0.000
Pt1 0.000 0.500 0.214
Pt2 0.000 0.500 0.786
Pt3 0.500 0.000 0.214
Pt4 0.500 0.000 0.786
Pt5 0.500 0.500 0.214
Pt6 0.500 0.500 0.786

Largest 6 diffraction maxima, low angle first, 5° ≤ 2θ ≤ 70°:
| 2theta | I/Imax | index |
| --- | --- | --- |
| 30.7 | 59 | 1 0 2 |
| 38.0 | 100 | 2 0 0 |
| 41.1 | 52 | 1 1 2 |
| 45.5 | 44 | 2 0 2 |
| 57.2 | 21 | 2 1 2 |
| 68.6 | 24 | 2 2 0 |

=====

Repeat the fourth record exactly.
For LaSmNi2B2Pt6, DFT lattice parameters and positions (GGA-PBE) gives the simulated X-ray diffraction stick pattern in this record (λ = 1.5418 Å (Cu Kα)).

Structure:
a = 5.470 Å, b = 5.470 Å, c = 7.378 Å
α = 90.00°, β = 90.00°, γ = 120.00°
Positions (direct):
La1 0.000 0.000 0.000
Sm1 0.000 0.000 0.500
Ni1 0.333 0.667 0.500
Ni2 0.667 0.333 0.500
B1 0.333 0.667 0.000
B2 0.667 0.333 0.000
Pt1 0.000 0.500 0.214
Pt2 0.000 0.500 0.786
Pt3 0.500 0.000 0.214
Pt4 0.500 0.000 0.786
Pt5 0.500 0.500 0.214
Pt6 0.500 0.500 0.786

Largest 6 diffraction maxima, low angle first, 5° ≤ 2θ ≤ 70°:
| 2theta | I/Imax | index |
| --- | --- | --- |
| 30.7 | 59 | 1 0 2 |
| 38.0 | 100 | 2 0 0 |
| 41.1 | 52 | 1 1 2 |
| 45.5 | 44 | 2 0 2 |
| 57.2 | 21 | 2 1 2 |
| 68.6 | 24 | 2 2 0 |